# SnH14C4Br4N2
Theoretical PXRD pattern, Cu Kα X-rays. Input: the GGA-PBE geometry in the Materials Project.
Peak positions follow from Bragg's law for the DFT cell and can differ from measured ones.

Top 10 peaks for 2θ = 15–90°, most intense first:
d (Å)  intensity  hkl
4.640  100  1 1 1
3.202  61  1 3 1
2.684  54  1 1 -3
2.320  53  2 2 2
3.009  51  1 2 2
3.344  43  2 0 0
2.800  41  2 0 -2
3.819  38  1 0 -2
2.086  35  0 6 0
2.403  33  0 5 1

```
SnH14C4Br4N2
1.0
6.7312 0.0000 0.0000
0.0000 12.5156 0.0000
-1.0121 0.0000 8.5765
Sn H C Br N
2 28 8 8 4
direct
0.0000 0.0000 0.0000 Sn
0.0000 0.5000 0.5000 Sn
0.1063 0.0947 0.3750 H
0.1063 0.4053 0.8750 H
0.1736 0.2372 0.1675 H
0.1736 0.2628 0.6675 H
0.2213 0.5332 0.8595 H
0.2213 0.9668 0.3595 H
0.3325 0.1968 0.0253 H
0.3325 0.3032 0.5253 H
0.3724 0.0821 0.4128 H
0.3724 0.4179 0.9128 H
0.3744 0.0288 0.1448 H
0.3744 0.4712 0.6448 H
0.4340 0.2118 0.2249 H
0.4340 0.2882 0.7249 H
0.5660 0.7118 0.2751 H
0.5660 0.7882 0.7751 H
0.6256 0.5288 0.3552 H
0.6256 0.9712 0.8552 H
0.6276 0.5821 0.0872 H
0.6276 0.9179 0.5872 H
0.6676 0.6968 0.4747 H
0.6676 0.8032 0.9747 H
0.7787 0.0332 0.6405 H
0.7787 0.4668 0.1405 H
0.8264 0.7372 0.3325 H
0.8264 0.7628 0.8325 H
0.8937 0.5947 0.1250 H
0.8937 0.9053 0.6250 H
0.2374 0.0529 0.3411 C
0.2374 0.4471 0.8411 C
0.3012 0.1873 0.1462 C
0.3012 0.3127 0.6462 C
0.6988 0.6873 0.3538 C
0.6988 0.8127 0.8538 C
0.7626 0.5529 0.1589 C
0.7626 0.9471 0.6589 C
0.1583 0.6848 0.5835 Br
0.1583 0.8152 0.0835 Br
0.2504 0.0189 0.7870 Br
0.2504 0.4811 0.2870 Br
0.7496 0.5189 0.7130 Br
0.7496 0.9811 0.2130 Br
0.8417 0.1848 0.9165 Br
0.8417 0.3152 0.4165 Br
0.2558 0.0737 0.1745 N
0.2558 0.4263 0.6745 N
0.7442 0.5737 0.3255 N
0.7442 0.9263 0.8255 N
```

# SnH16C4Br6N2
Theoretical PXRD pattern, Cu Kα X-rays. Input: the GGA-PBE geometry in the Materials Project.
Peak positions follow from Bragg's law for the DFT cell and can differ from measured ones.

Top 10 peaks for 2θ = 15–90°, most intense first:
d (Å)  intensity  hkl
3.152  100  1 2 2
3.403  54  1 4 0
2.579  32  2 2 2
5.487  29  1 0 1
2.114  27  0 6 2
1.980  25  3 3 2
2.556  22  3 1 0
4.443  19  1 2 1
2.862  18  2 3 1
1.701  17  0 8 2

```
SnH16C4Br6N2
1.0
7.7772 0.0000 0.0000
0.0000 15.1398 0.0000
0.0000 0.0000 7.7425
Sn H C Br N
2 32 8 12 4
direct
0.0000 0.0000 0.0000 Sn
0.5000 0.5000 0.5000 Sn
0.0371 0.2181 0.5000 H
0.0814 0.3295 0.1160 H
0.0814 0.3295 0.8840 H
0.0810 0.4320 0.0000 H
0.1384 0.8995 0.3937 H
0.1384 0.8995 0.6063 H
0.1456 0.7391 0.3845 H
0.1456 0.7391 0.6155 H
0.3544 0.2391 0.1155 H
0.3544 0.2391 0.8845 H
0.3616 0.3995 0.1063 H
0.3616 0.3995 0.8937 H
0.4186 0.8295 0.3840 H
0.4186 0.8295 0.6160 H
0.4190 0.9320 0.5000 H
0.4629 0.7181 0.0000 H
0.5371 0.2819 0.0000 H
0.5810 0.0680 0.5000 H
0.5814 0.1705 0.3840 H
0.5814 0.1705 0.6160 H
0.6384 0.6005 0.1063 H
0.6384 0.6005 0.8937 H
0.6456 0.7609 0.1155 H
0.6456 0.7609 0.8845 H
0.8544 0.2609 0.3845 H
0.8544 0.2609 0.6155 H
0.8616 0.1005 0.3937 H
0.8616 0.1005 0.6063 H
0.9190 0.5680 0.0000 H
0.9186 0.6705 0.1160 H
0.9186 0.6705 0.8840 H
0.9629 0.7819 0.5000 H
0.1029 0.7746 0.5000 C
0.1263 0.3637 0.0000 C
0.3737 0.8637 0.5000 C
0.3971 0.2746 0.0000 C
0.6029 0.7254 0.0000 C
0.6263 0.1363 0.5000 C
0.8737 0.6363 0.0000 C
0.8971 0.2254 0.5000 C
0.1833 0.8521 0.0000 Br
0.1995 0.0659 0.2470 Br
0.1995 0.0659 0.7530 Br
0.3005 0.5659 0.2530 Br
0.3005 0.5659 0.7470 Br
0.3167 0.3521 0.5000 Br
0.6833 0.6479 0.5000 Br
0.6995 0.4341 0.2530 Br
0.6995 0.4341 0.7470 Br
0.8005 0.9341 0.2470 Br
0.8005 0.9341 0.7530 Br
0.8167 0.1479 0.0000 Br
0.1819 0.8644 0.5000 N
0.3181 0.3644 0.0000 N
0.6819 0.6357 0.0000 N
0.8181 0.1356 0.5000 N
```

# SnH10C3Br3N
Theoretical PXRD pattern, Cu Kα X-rays. Input: the GGA-PBE geometry in the Materials Project.
Peak positions follow from Bragg's law for the DFT cell and can differ from measured ones.

Top 10 peaks for 2θ = 15–90°, most intense first:
d (Å)  intensity  hkl
3.407  100  0 4 0
3.475  51  0 0 2
3.054  43  0 4 1
3.834  40  1 2 1
2.244  28  3 1 0
4.818  25  1 2 0
2.431  24  0 4 2
3.145  24  1 1 -2
2.285  24  0 1 3
2.267  24  0 6 0

```
SnH10C3Br3N
1.0
6.8610 0.0000 0.0000
0.0000 13.6104 0.0000
-0.7075 0.0000 6.9506
Sn H C Br N
2 20 6 6 2
direct
0.0656 0.0000 0.0348 Sn
0.9344 0.5000 0.9652 Sn
0.2080 0.7335 0.5495 H
0.2745 0.6718 0.3376 H
0.2810 0.2163 0.6088 H
0.3206 0.3301 0.7386 H
0.3644 0.8412 0.3545 H
0.3700 0.4023 0.4309 H
0.3730 0.2888 0.2999 H
0.4166 0.6533 0.5664 H
0.4175 0.8689 0.6865 H
0.4569 0.2218 0.8167 H
0.5431 0.7218 0.1833 H
0.5825 0.3689 0.3135 H
0.5834 0.1533 0.4336 H
0.6270 0.7888 0.7001 H
0.6300 0.9023 0.5691 H
0.6357 0.3412 0.6455 H
0.6794 0.8301 0.2614 H
0.7190 0.7163 0.3912 H
0.7255 0.1718 0.6624 H
0.7920 0.2335 0.4505 H
0.3295 0.7056 0.4748 C
0.3887 0.2625 0.6923 C
0.4616 0.3414 0.3892 C
0.5384 0.8414 0.6108 C
0.6113 0.7625 0.3077 C
0.6705 0.2056 0.5252 C
0.0608 0.8037 0.9892 Br
0.0643 0.9915 0.4210 Br
0.4595 0.0137 0.0606 Br
0.5405 0.5137 0.9394 Br
0.9357 0.4915 0.5790 Br
0.9392 0.3037 0.0108 Br
0.4550 0.7908 0.4315 N
0.5450 0.2908 0.5685 N
```